Simulated powder X-ray diffraction pattern
Compound: MgInP2S
Radiation: Cu Ka
Structure: a DFT-relaxed cell (GGA-PBE, Alexandria)
Lines closer than 0.1° are merged.

The 10 most intense peaks (2θ from 5° to 70°), by angle:
(hkl), two_theta, I_rel
1 1 0, 25.54, 33
1 0 1, 26.06, 57
1 1 1, 31.85, 100
2 0 0, 36.44, 56
0 0 2, 37.93, 25
2 1 1, 45.34, 26
2 2 0, 52.48, 18
2 0 2, 53.61, 34
3 1 1, 62.71, 26
2 2 2, 66.56, 18

abc: 4.932 4.932 4.744
angles: 90.00 90.00 90.00
Space group P4/mmm (No. 123)
Symmetry-distinct sites (fractional):
1 Mg 0.000 0.000 0.000 [1 per cell]
2 In 0.500 0.500 0.500 [1 per cell]
3 P 0.000 0.500 0.000 [2 per cell]
4 S 0.000 0.000 0.500 [1 per cell]


Simulated powder X-ray diffraction pattern
Compound: KZn2
Radiation: Cu Ka
Structure: a DFT-relaxed cell (GGA-PBE, Alexandria)
Lines closer than 0.1° are merged.

The 10 most intense peaks (2θ from 5° to 70°), by angle:
(hkl), two_theta, I_rel
1 0 1, 19.79, 69
1 1 2, 29.28, 100
1 0 5, 34.42, 73
2 0 0, 38.45, 64
2 1 1, 43.60, 19
1 1 6, 44.15, 28
1 0 7, 44.85, 31
2 1 5, 52.55, 41
2 2 0, 55.50, 21
2 1 7, 60.52, 24

abc: 4.683 4.683 15.680
angles: 90.00 90.00 90.00
Space group I4_1/amd (No. 141, origin choice 2)
Symmetry-distinct sites (fractional):
1 K 0.000 0.250 0.375 [4 per cell]
2 Zn 0.000 0.250 0.791 [8 per cell]


Simulated powder X-ray diffraction pattern
Compound: K2RbIrCl8
Radiation: Cu Ka
Structure: a DFT-relaxed cell (GGA-PBE, Alexandria)
Lines closer than 0.1° are merged.

The 10 most intense peaks (2θ from 5° to 70°), by angle:
(hkl), two_theta, I_rel
0 0 1, 9.96, 100
0 1 0, 13.00, 60
1 0 0, 16.02, 72
0 1 1, 16.42, 80
1 1 0, 20.63, 45
1 -1 0, 20.74, 45
1 0 2, 22.05, 43
0 2 0, 26.16, 41
1 2 2, 34.42, 45
1 -2 2, 34.53, 45

abc: 5.742 6.812 9.219
angles: 89.95 74.45 89.71
Space group P-1 (No. 2)
Symmetry-distinct sites (fractional):
1 K 0.163 0.002 0.188 [2 per cell]
2 Rb 0.500 0.500 0.500 [1 per cell]
3 Ir 0.500 0.500 0.000 [1 per cell]
4 Cl 0.169 0.501 0.216 [2 per cell]
5 Cl 0.254 0.000 0.505 [2 per cell]
6 Cl 0.326 0.744 0.883 [2 per cell]
7 Cl 0.327 0.258 0.882 [2 per cell]


Simulated powder X-ray diffraction pattern
Compound: CdSi2O2
Radiation: Cu Ka
Structure: a DFT-relaxed cell (GGA-PBE, Alexandria)
Lines closer than 0.1° are merged.

The 10 most intense peaks (2θ from 5° to 70°), by angle:
(hkl), two_theta, I_rel
0 0 2, 13.82, 12
1 0 1, 26.86, 46
0 0 4, 27.85, 23
1 0 3, 33.47, 100
1 1 0, 37.00, 25
1 1 2, 39.67, 28
1 0 5, 44.08, 9
2 0 0, 53.32, 17
1 1 6, 57.45, 28
2 1 3, 64.43, 28

abc: 3.436 3.436 12.816
angles: 90.00 90.00 90.00
Space group I4/mmm (No. 139)
Symmetry-distinct sites (fractional):
1 Cd 0.000 0.000 0.000 [2 per cell]
2 Si 0.000 0.000 0.327 [4 per cell]
3 O 0.000 0.500 0.250 [4 per cell]


Simulated powder X-ray diffraction pattern
Compound: TcIrBr
Radiation: Cu Ka
Structure: a DFT-relaxed cell (GGA-PBE, Alexandria)
Lines closer than 0.1° are merged.

The 10 most intense peaks (2θ from 5° to 70°), by angle:
(hkl), two_theta, I_rel
0 0 2, 14.28, 39
0 0 4, 28.80, 12
1 0 1, 31.35, 16
1 0 3, 37.61, 100
1 1 0, 43.65, 41
1 1 2, 46.16, 9
1 0 5, 48.05, 25
1 1 4, 53.14, 9
2 0 0, 63.44, 13
1 1 6, 63.56, 10

abc: 2.932 2.932 12.401
angles: 90.00 90.00 90.00
Space group I4mm (No. 107)
Symmetry-distinct sites (fractional):
1 Tc 0.000 0.000 0.000 [2 per cell]
2 Ir 0.000 0.000 0.629 [2 per cell]
3 Br 0.000 0.000 0.353 [2 per cell]


Simulated powder X-ray diffraction pattern
Compound: Dy3ThCo
Radiation: Cu Ka
Structure: a DFT-relaxed cell (GGA-PBE, Alexandria)
Lines closer than 0.1° are merged.

The 10 most intense peaks (2θ from 5° to 70°), by angle:
(hkl), two_theta, I_rel
2 2 -1, 28.67, 91
0 0 2, 30.25, 56
4 0 0, 32.67, 37
2 2 1, 33.08, 100
3 1 -2, 35.23, 30
2 2 -2, 37.34, 16
0 4 0, 43.52, 19
2 2 -3, 49.87, 20
5 3 -1, 52.16, 22
2 2 3, 58.26, 21

abc: 11.384 8.318 6.134
angles: 90.00 105.60 90.00
Space group C2/m (No. 12)
Symmetry-distinct sites (fractional):
1 Dy 0.134 0.000 0.235 [4 per cell]
2 Dy 0.146 0.207 0.738 [8 per cell]
3 Th 0.083 0.500 0.288 [4 per cell]
4 Co 0.175 0.500 0.948 [4 per cell]


Simulated powder X-ray diffraction pattern
Compound: Sr3Al7Ir2
Radiation: Cu Ka
Structure: a DFT-relaxed cell (GGA-PBE, Alexandria)
Lines closer than 0.1° are merged.

The 10 most intense peaks (2θ from 5° to 70°), by angle:
(hkl), two_theta, I_rel
0 2 0, 6.16, 100
1 1 0, 19.37, 46
0 2 1, 20.40, 34
1 5 0, 24.65, 85
0 6 1, 26.98, 50
1 1 1, 27.55, 98
1 7 1, 35.18, 35
2 0 0, 38.76, 35
0 0 2, 39.44, 34
1 5 2, 47.07, 34

abc: 4.647 28.713 4.570
angles: 90.00 90.00 90.00
Space group Cmmm (No. 65)
Symmetry-distinct sites (fractional):
1 Sr 0.000 0.000 0.000 [2 per cell]
2 Sr 0.000 0.200 0.000 [4 per cell]
3 Al 0.000 0.107 0.500 [4 per cell]
4 Al 0.000 0.328 0.500 [4 per cell]
5 Al 0.000 0.393 0.000 [4 per cell]
6 Al 0.000 0.500 0.500 [2 per cell]
7 Ir 0.000 0.420 0.500 [4 per cell]


Simulated powder X-ray diffraction pattern
Compound: PrPu2O11
Radiation: Cu Ka
Structure: a DFT-relaxed cell (GGA-PBE, Alexandria)
Lines closer than 0.1° are merged.

The 10 most intense peaks (2θ from 5° to 70°), by angle:
(hkl), two_theta, I_rel
2 0 0, 16.32, 53
0 2 0, 17.22, 32
0 0 2, 20.99, 22
2 1 1, 21.26, 28
2 2 0, 23.81, 100
2 0 2, 26.70, 69
0 2 2, 27.27, 71
2 2 2, 31.95, 27
4 2 2, 43.31, 42
2 4 2, 44.42, 32

abc: 10.864 10.302 8.464
angles: 90.00 90.00 90.00
Space group Ima2 (No. 46)
Symmetry-distinct sites (fractional):
1 Pr 0.000 0.000 0.000 [4 per cell]
2 Pu 0.250 0.222 0.714 [4 per cell]
3 Pu 0.250 0.737 0.764 [4 per cell]
4 O 0.128 0.182 0.113 [8 per cell]
5 O 0.128 0.645 0.330 [8 per cell]
6 O 0.129 0.123 0.809 [8 per cell]
7 O 0.129 0.616 0.695 [8 per cell]
8 O 0.250 0.040 0.523 [4 per cell]
9 O 0.250 0.078 0.380 [4 per cell]
10 O 0.250 0.683 0.019 [4 per cell]


Simulated powder X-ray diffraction pattern
Compound: SmErPa2P4
Radiation: Cu Ka
Structure: a DFT-relaxed cell (GGA-PBE, Alexandria)
Lines closer than 0.1° are merged.

The 10 most intense peaks (2θ from 5° to 70°), by angle:
(hkl), two_theta, I_rel
1 0 0, 13.58, 6
1 0 -2, 26.14, 4
2 0 0, 27.33, 99
1 1 1, 31.66, 100
2 1 1, 41.52, 2
0 2 0, 45.39, 74
1 2 0, 47.58, 2
3 1 1, 53.79, 49
0 0 4, 56.39, 26
2 2 2, 66.13, 12

abc: 6.919 3.998 6.924
angles: 90.00 109.48 90.00
Space group P2/m (No. 10)
Symmetry-distinct sites (fractional):
1 Sm 0.000 0.000 0.000 [1 per cell]
2 Er 0.000 0.500 0.500 [1 per cell]
3 Pa 0.500 0.000 0.500 [1 per cell]
4 Pa 0.500 0.500 0.000 [1 per cell]
5 P 0.255 0.000 0.748 [2 per cell]
6 P 0.258 0.500 0.257 [2 per cell]


Simulated powder X-ray diffraction pattern
Compound: AsCSCl2F9
Radiation: Cu Ka
Structure: a DFT-relaxed cell (GGA-PBE, Alexandria)
Lines closer than 0.1° are merged.

The 10 most intense peaks (2θ from 5° to 70°), by angle:
(hkl), two_theta, I_rel
1 0 -2, 16.69, 56
0 2 0, 18.33, 63
1 1 -2, 19.06, 22
1 0 2, 20.03, 26
1 1 2, 22.06, 100
2 0 0, 22.88, 39
1 2 -2, 24.89, 45
2 1 -2, 26.45, 47
1 0 -4, 29.31, 23
1 3 0, 29.98, 28

abc: 7.908 9.681 12.472
angles: 90.00 100.60 90.00
Space group P2_1/c (No. 14)
Symmetry-distinct sites (fractional):
1 As 0.192 0.248 0.068 [4 per cell]
2 C 0.380 0.669 0.119 [4 per cell]
3 S 0.173 0.672 0.194 [4 per cell]
4 Cl 0.182 0.632 0.740 [4 per cell]
5 Cl 0.263 0.567 0.328 [4 per cell]
6 F 0.022 0.706 0.499 [4 per cell]
7 F 0.113 0.089 0.606 [4 per cell]
8 F 0.145 0.175 0.190 [4 per cell]
9 F 0.232 0.178 0.446 [4 per cell]
10 F 0.268 0.086 0.031 [4 per cell]
11 F 0.323 0.615 0.021 [4 per cell]
12 F 0.401 0.207 0.636 [4 per cell]
13 F 0.434 0.703 0.611 [4 per cell]
14 F 0.500 0.090 0.323 [4 per cell]


Simulated powder X-ray diffraction pattern
Compound: AgN2Cl
Radiation: Cu Ka
Structure: a DFT-relaxed cell (GGA-PBE, Alexandria)
Lines closer than 0.1° are merged.

The 10 most intense peaks (2θ from 5° to 70°), by angle:
(hkl), two_theta, I_rel
0 0 1, 12.15, 100
0 1 0, 23.74, 47
1 1 1, 24.13, 9
0 0 2, 24.45, 63
1 1 2, 29.48, 10
0 1 2, 31.51, 10
1 0 2, 31.87, 10
0 0 3, 37.00, 15
1 -1 0, 41.30, 16
2 1 0, 42.60, 8

abc: 4.370 4.371 7.589
angles: 75.66 76.38 60.07
Space group P1 (No. 1)
Symmetry-distinct sites (fractional):
1 Ag 0.000 0.000 0.000 [1 per cell]
2 N 0.059 0.049 0.541 [1 per cell]
3 N 0.972 0.955 0.447 [1 per cell]
4 Cl 0.666 0.666 0.000 [1 per cell]


Simulated powder X-ray diffraction pattern
Compound: Na5AgAs2
Radiation: Cu Ka
Structure: a DFT-relaxed cell (GGA-PBE, Alexandria)
Lines closer than 0.1° are merged.

The 10 most intense peaks (2θ from 5° to 70°), by angle:
(hkl), two_theta, I_rel
0 0 2, 9.79, 24
1 0 0, 19.93, 36
1 0 1, 20.53, 100
1 1 0, 34.88, 89
1 0 6, 35.99, 19
1 0 7, 40.37, 45
1 1 6, 46.42, 23
1 1 8, 54.02, 21
2 0 7, 54.40, 18
2 1 7, 66.27, 20

abc: 5.1440 5.1440 18.0760
angles: 90.00 90.00 120.00
Space group P6_3/mmc (No. 194)
Symmetry-distinct sites (fractional):
1 Na 0.0000 0.0000 0.1351 [4 per cell]
2 Na 0.3333 0.6667 0.0527 [4 per cell]
3 Na 0.3333 0.6667 0.2500 [2 per cell]
4 Ag 0.3333 0.6667 0.7500 [2 per cell]
5 As 0.3333 0.6667 0.6120 [4 per cell]